Record 1
AgBiTe2: theoretical powder XRD pattern (Cu Kα (weighted mean of Kα1 and Kα2)), based on a cell relaxed with PBE.
Kinematic intensities with the Lorentz-polarization factor, no thermal factor.

Main lines, in order of rising 2θ (5 to 70 degrees two-theta):
- 28.34 deg, intensity 52
- 28.77 deg, intensity 100
- 40.83 deg, intensity 78
- 41.14 deg, intensity 38
- 50.71 deg, intensity 42
- 66.61 deg, intensity 18

Crystal structure
abc: 4.3883 4.3883 6.2977
angles: 90.00 90.00 90.00
Space group P4/mmm (No. 123)
Inequivalent atoms, fractional coordinates:
Ag  0.0000  0.0000  0.0000
Bi  0.5000  0.5000  0.5000
Te  0.0000  0.0000  0.5000
Te  0.5000  0.5000  0.0000

Record 2
K2Na2Eu2MgNb2O10: theoretical powder XRD pattern (Cu Kα (weighted mean of Kα1 and Kα2)), based on a cell relaxed with PBE.
Kinematic intensities with the Lorentz-polarization factor, no thermal factor.

Main lines, in order of rising 2θ (5 to 70 degrees two-theta):
- 9.37 deg, intensity 95
- 29.19 deg, intensity 100
- 31.48 deg, intensity 40
- 36.26 deg, intensity 26
- 45.12 deg, intensity 30
- 54.64 deg, intensity 33

Crystal structure
abc: 5.6840 5.6840 9.4378
angles: 90.00 90.00 90.00
Space group P4mm (No. 99)
Inequivalent atoms, fractional coordinates:
K  0.0000  0.5000  0.0000
Na  0.0000  0.0000  0.1894
Na  0.5000  0.5000  0.7756
Eu  0.0000  0.5000  0.5555
Mg  0.0000  0.0000  0.4301
Nb  0.0000  0.0000  0.7663
Nb  0.5000  0.5000  0.3164
O  0.0000  0.0000  0.9700
O  0.2349  0.2349  0.7071
O  0.2562  0.2562  0.3756
O  0.5000  0.5000  0.1171